[1]
Diffraction record for K2Li2PaO4. The XRD peak list is calculated, not measured: it uses a DFT-relaxed cell (GGA-PBE, Alexandria) and Cu Kα (λ = 1.5418 Å).

Largest 8 diffraction maxima, by angle, 2θ = 5–70°:
2θ (°)  Rel. int.
13.4  100
13.8  66
17.8  29
20.6  39
26.5  42
28.5  30
32.4  25
34.0  51

Structure:
```
K2Li2PaO4
1.0
6.506 -1.784 0.000
6.506 1.784 0.000
-5.534 0.000 6.615
K Li Pa O
2 2 1 4
Direct
0.168 0.168 0.259
0.832 0.832 0.741
0.342 0.342 0.111
0.658 0.658 0.889
0.000 0.000 0.500
0.190 0.190 0.804
0.441 0.441 0.592
0.559 0.559 0.408
0.810 0.810 0.196
```

=====

[2]
Diffraction record for K2Li14Pb3O14. The XRD peak list is calculated, not measured: it uses a DFT-relaxed cell (GGA-PBE, Alexandria) and Cu Kα (λ = 1.5418 Å).

Largest 8 diffraction maxima, by angle, 2θ = 5–70°:
2θ (°)  Rel. int.
16.3  100
22.0  31
24.2  18
27.5  21
32.1  24
33.8  19
35.4  42
38.3  18

Structure:
```
K2Li14Pb3O14
1.0
-3.681 4.047 6.494
3.681 -4.047 6.494
3.681 4.047 -6.494
K Li Pb O
2 14 3 14
Direct
0.000 0.248 0.248
0.000 0.752 0.752
0.084 0.230 0.855
0.210 0.138 0.616
0.210 0.594 0.072
0.342 0.500 0.842
0.375 0.230 0.145
0.478 0.406 0.616
0.478 0.862 0.072
0.522 0.138 0.928
0.522 0.594 0.384
0.625 0.770 0.855
0.658 0.500 0.158
0.790 0.406 0.928
0.790 0.862 0.384
0.916 0.770 0.145
0.228 0.728 0.500
0.500 0.000 0.500
0.772 0.272 0.500
0.089 0.373 0.716
0.186 0.873 0.313
0.249 0.041 0.792
0.249 0.457 0.208
0.344 0.627 0.716
0.441 0.127 0.313
0.500 0.296 0.796
0.500 0.704 0.204
0.559 0.873 0.687
0.656 0.373 0.284
0.751 0.543 0.792
0.751 0.959 0.208
0.814 0.127 0.687
0.911 0.627 0.284
```